1.
For TaTi2Se2Cl4, DFT lattice parameters and positions (PBE) gives the simulated powder diffractogram in this record (CuKα).
No peak broadening, texture or thermal motion is included.

Principal peaks in the range 10 to 80 degrees two-theta, in order of rising 2θ:
| Position (°2θ) | I/Imax |
| --- | --- |
| 12.41 | 100.0 |
| 30.68 | 29.6 |
| 33.21 | 25.6 |
| 35.07 | 23.0 |
| 37.33 | 48.1 |
| 39.95 | 27.0 |
| 46.06 | 28.9 |
| 54.55 | 21.3 |

Crystal structure
a = 3.3645 Å, b = 3.3645 Å, c = 21.4026 Å
α = 90.00°, β = 90.00°, γ = 120.00°
Fractional coordinates of all 9 atoms:
Ta1 0.0000 0.0000 0.0000
Ti1 0.0000 0.0000 0.6523
Ti2 0.6667 0.3333 0.3306
Se1 0.6667 0.3333 0.0801
Se2 0.6667 0.3333 0.9199
Cl1 0.0000 0.0000 0.2580
Cl2 0.0000 0.0000 0.4036
Cl3 0.6667 0.3333 0.5794
Cl4 0.6667 0.3333 0.7249

2.
For BaSi2, DFT lattice parameters and positions (PBE) gives the simulated powder diffractogram in this record (CuKα).
No peak broadening, texture or thermal motion is included.

Principal peaks in the range 10 to 80 degrees two-theta, in order of rising 2θ:
| Position (°2θ) | I/Imax |
| --- | --- |
| 18.54 | 22.7 |
| 22.76 | 11.1 |
| 29.52 | 100.0 |
| 32.41 | 56.3 |
| 44.40 | 17.8 |
| 50.46 | 32.0 |
| 62.94 | 20.6 |
| 75.69 | 19.0 |

Crystal structure
a = 6.7669 Å, b = 6.7669 Å, c = 6.7669 Å
α = 90.00°, β = 90.00°, γ = 90.00°
Fractional coordinates of all 12 atoms:
Ba1 0.1250 0.3750 0.6250
Ba2 0.3750 0.6250 0.1250
Ba3 0.6250 0.1250 0.3750
Ba4 0.8750 0.8750 0.8750
Si1 0.0820 0.9180 0.4180
Si2 0.1680 0.1680 0.1680
Si3 0.3320 0.8320 0.6680
Si4 0.4180 0.0820 0.9180
Si5 0.5820 0.5820 0.5820
Si6 0.6680 0.3320 0.8320
Si7 0.8320 0.6680 0.3320
Si8 0.9180 0.4180 0.0820

3.
For Ca2Mg2Tl7Pb, DFT lattice parameters and positions (PBE) gives the simulated powder diffractogram in this record (CuKα).
No peak broadening, texture or thermal motion is included.

Principal peaks in the range 10 to 80 degrees two-theta, in order of rising 2θ:
| Position (°2θ) | I/Imax |
| --- | --- |
| 16.42 | 38.3 |
| 28.76 | 100.0 |
| 28.94 | 36.0 |
| 31.34 | 91.0 |
| 31.56 | 26.5 |
| 33.20 | 36.1 |
| 34.70 | 45.0 |
| 37.93 | 93.9 |

Crystal structure
a = 4.7448 Å, b = 4.7448 Å, c = 16.5032 Å
α = 97.86°, β = 97.86°, γ = 90.13°
Fractional coordinates of all 12 atoms:
Ca1 0.1621 0.1621 0.3391
Ca2 0.8379 0.8379 0.6609
Mg1 0.3664 0.3664 0.7203
Mg2 0.6336 0.6336 0.2797
Tl1 0.0788 0.5788 0.1627
Tl2 0.2719 0.2719 0.5404
Tl3 0.4212 0.9212 0.8373
Tl4 0.5000 0.5000 0.0000
Tl5 0.5788 0.0788 0.1627
Tl6 0.7281 0.7281 0.4596
Tl7 0.9212 0.4212 0.8373
Pb1 0.0000 0.0000 0.0000